This entry pairs a crystal structure of BaLi5Au2 with its simulated XRD peak list. Radiation: Cu Kα (λ = 1.5418 Å). Structure: the GGA-PBE geometry in Alexandria.

Peak list (12 most intense, 10° ≤ 2θ ≤ 90°, in order of rising 2θ)
hkl	two_theta	d [Å]	I/Imax
0 1 1	13.82	6.409	16
0 0 2	17.02	5.210	23
0 2 0	21.87	4.065	50
1 1 0	23.31	3.816	21
0 2 2	27.86	3.202	17
1 1 2	29.00	3.079	100
0 0 4	34.43	2.605	16
0 2 4	41.16	2.193	21
1 3 2	43.05	2.101	37
2 2 0	47.66	1.908	13
1 1 6	58.38	1.581	15
2 2 4	60.11	1.539	14

Structural model:
```
BaLi5Au2
1.0
4.322 0.000 0.000
0.000 8.129 0.000
0.000 0.000 10.419
Ba Li Au
2 10 4
Direct
0.000 0.000 0.000 Ba
0.500 0.500 0.500 Ba
0.000 0.179 0.332 Li
0.000 0.179 0.668 Li
0.000 0.500 0.000 Li
0.000 0.821 0.332 Li
0.000 0.821 0.668 Li
0.500 0.000 0.500 Li
0.500 0.321 0.168 Li
0.500 0.321 0.832 Li
0.500 0.679 0.168 Li
0.500 0.679 0.832 Li
0.000 0.500 0.250 Au
0.000 0.500 0.750 Au
0.500 0.000 0.250 Au
0.500 0.000 0.750 Au
```